Calculated powder diffraction line list of Ce2Si2Au for λ = 1.5418 Å (Cu Kα), from a structure optimized by DFT (GGA-PBE).
Lines closer than 0.1° are merged.

Atomic structure:
```
Ce2Si2Au
1.0
5.3648 -2.1921 0.0000
5.3648 2.1921 0.0000
-4.8778 0.0000 9.2402
Ce Si Au
4 4 2
Cartesian
-1.5216 0.0000 2.9891
1.5141 0.0000 0.9606
4.3377 0.0000 8.2797
7.3733 0.0000 6.2512
1.8380 0.0000 4.0372
4.5906 0.0000 0.9816
1.2611 0.0000 8.2586
4.0138 0.0000 5.2030
-0.1966 0.0000 6.0167
6.0484 0.0000 3.2236
```

Most intense lines, 10 to 80 degrees two-theta, low angle first:
| 2θ/deg | Rel. int. |
| --- | --- |
| 26.54 | 48 |
| 28.99 | 27 |
| 32.45 | 100 |
| 32.90 | 83 |
| 34.35 | 46 |
| 36.10 | 45 |
| 38.99 | 23 |
| 39.85 | 76 |
| 41.18 | 51 |
| 54.67 | 25 |